NaCa2Tb: theoretical powder diffraction line list (λ = 1.5418 Å (Cu Kα)), based on DFT lattice parameters and positions (PBE).
Kinematic intensities with the Lorentz-polarization factor, no thermal factor.

Structure:
a b c (Å): 3.7693 3.7693 36.9141
angles (deg): 90.00 90.00 120.00
Space group R3m (No. 160, hexagonal axes)
Unique sites:
Na: 0.0000 0.0000 0.0000 [3 per cell]
Ca: 0.0000 0.0000 0.4198 [3 per cell]
Ca: 0.0000 0.0000 0.5801 [3 per cell]
Tb: 0.0000 0.0000 0.1665 [3 per cell]

The 8 most intense peaks (2θ = 10–80°), by angle:
two_theta, intensity, index
27.43, 44, 1 0 1
27.75, 42, 0 1 2
29.02, 100, 0 0 12
29.93, 89, 0 1 5
32.25, 78, 1 0 7
33.63, 41, 0 1 8
48.29, 45, 1 1 0
57.34, 56, 1 1 12

---

Na14Ca2Te9: theoretical powder diffraction line list (λ = 1.5418 Å (Cu Kα)), based on DFT lattice parameters and positions (PBE).
Kinematic intensities with the Lorentz-polarization factor, no thermal factor.

Structure:
a b c (Å): 9.0365 9.0365 12.6770
angles (deg): 90.00 90.00 120.00
Space group P-3 (No. 147)
Unique sites:
Na: 0.0000 0.0000 0.2483 [2 per cell]
Na: 0.0251 0.6765 0.4105 [6 per cell]
Na: 0.0427 0.3636 0.0889 [6 per cell]
Ca: 0.3333 0.6667 0.7583 [2 per cell]
Te: 0.0000 0.0000 0.5000 [1 per cell]
Te: 0.0295 0.3398 0.8382 [6 per cell]
Te: 0.3333 0.6667 0.5179 [2 per cell]

The 8 most intense peaks (2θ = 10–80°), by angle:
two_theta, intensity, index
20.87, 100, 2 -1 1
21.02, 34, 0 0 3
24.19, 26, 1 1 2
34.38, 50, 3 0 0
34.57, 51, 2 -1 4
40.62, 48, 0 3 3
40.81, 16, 1 1 5
49.55, 16, 2 2 4

---

Na4Ca2Te: theoretical powder diffraction line list (λ = 1.5418 Å (Cu Kα)), based on DFT lattice parameters and positions (PBE).
Kinematic intensities with the Lorentz-polarization factor, no thermal factor.

Structure:
a b c (Å): 5.5840 5.5840 21.3019
angles (deg): 90.00 90.00 90.00
Space group I4/mmm (No. 139)
Unique sites:
Na: 0.0000 0.0000 0.1403 [4 per cell]
Na: 0.0000 0.5000 0.0000 [4 per cell]
Ca: 0.0000 0.0000 0.3017 [4 per cell]
Te: 0.0000 0.0000 0.0000 [2 per cell]

The 8 most intense peaks (2θ = 10–80°), by angle:
two_theta, intensity, index
16.41, 100, 1 0 1
16.65, 34, 0 0 4
20.23, 89, 1 0 3
22.52, 65, 1 1 0
32.06, 56, 2 0 0
33.54, 60, 1 0 7
38.20, 33, 2 1 3
47.09, 52, 2 1 7